For Ac5ScHg6, a crystal structure in Alexandria, relaxed with GGA-PBE gives the simulated powder XRD pattern in this record (Cu Kα (weighted mean of Kα1 and Kα2)).

Principal peaks in the range 10° ≤ 2θ ≤ 80°, sorted by position:
31.9 deg, intensity 100
32.1 deg, intensity 21
45.7 deg, intensity 14
56.8 deg, intensity 20
57.1 deg, intensity 16
66.7 deg, intensity 8

Crystal structure
abc: 9.730 9.730 5.580
angles: 106.61 106.61 48.17
Fractional coordinates of all 12 atoms:
Ac1 0.000 0.000 0.000
Ac2 0.164 0.164 0.663
Ac3 0.327 0.327 0.327
Ac4 0.673 0.673 0.673
Ac5 0.836 0.836 0.337
Sc1 0.500 0.500 0.000
Hg1 0.117 0.576 0.846
Hg2 0.284 0.716 0.500
Hg3 0.424 0.883 0.154
Hg4 0.576 0.117 0.846
Hg5 0.716 0.284 0.500
Hg6 0.883 0.424 0.154

For AcScHg6, a crystal structure in Alexandria, relaxed with GGA-PBE gives the simulated powder XRD pattern in this record (Cu Kα (weighted mean of Kα1 and Kα2)).

Principal peaks in the range 10° ≤ 2θ ≤ 80°, sorted by position:
33.1 deg, intensity 100
37.1 deg, intensity 39
53.5 deg, intensity 14
56.3 deg, intensity 19
64.4 deg, intensity 30
69.4 deg, intensity 17

Crystal structure
abc: 4.843 4.843 8.848
angles: 90.00 90.00 90.00
Fractional coordinates of all 8 atoms:
Ac1 0.000 0.000 0.000
Sc1 0.000 0.000 0.500
Hg1 0.000 0.500 0.277
Hg2 0.000 0.500 0.723
Hg3 0.500 0.000 0.277
Hg4 0.500 0.000 0.723
Hg5 0.500 0.500 0.000
Hg6 0.500 0.500 0.500

For Ac2ScHgSe5, a crystal structure in Alexandria, relaxed with GGA-PBE gives the simulated powder XRD pattern in this record (Cu Kα (weighted mean of Kα1 and Kα2)).

Principal peaks in the range 10° ≤ 2θ ≤ 80°, sorted by position:
25.7 deg, intensity 100
30.2 deg, intensity 95
30.4 deg, intensity 58
32.5 deg, intensity 47
38.9 deg, intensity 51
42.6 deg, intensity 42

Crystal structure
abc: 9.310 9.310 12.770
angles: 90.00 90.00 153.67
Fractional coordinates of all 18 atoms:
Ac1 0.121 0.879 0.500
Ac2 0.137 0.863 0.115
Ac3 0.863 0.137 0.615
Ac4 0.879 0.121 0.000
Sc1 0.200 0.800 0.819
Sc2 0.800 0.200 0.319
Hg1 0.467 0.533 0.264
Hg2 0.533 0.467 0.764
Se1 0.054 0.946 0.879
Se2 0.290 0.710 0.464
Se3 0.308 0.692 0.170
Se4 0.351 0.649 0.811
Se5 0.493 0.507 0.569
Se6 0.507 0.493 0.069
Se7 0.649 0.351 0.311
Se8 0.692 0.308 0.670
Se9 0.710 0.290 0.964
Se10 0.946 0.054 0.379

- Which formula does entry 3 have?
  Ac2ScHgSe5